Structure and computed XRD peak list of Mg3Bi (the PBE geometry in the Materials Project; λ = 1.5418 Å (Cu Kα)).
Intensities are scaled so that the largest is 1000.

Crystal structure
Cell lengths 4.6289, 4.6289, 4.6289 Å; angles 90.00, 90.00, 90.00 degrees
Fractional coordinates of all 4 atoms:
1 Mg 0.0000 0.0000 0.5000
2 Mg 0.0000 0.5000 0.0000
3 Mg 0.5000 0.0000 0.0000
4 Bi 0.5000 0.5000 0.5000

Top 10 peaks for 15 to 90 degrees two-theta, in order of rising 2θ:
- d = 4.629 Å, I 1000, hkl 1 0 0
- d = 3.273 Å, I 881, hkl 1 1 0
- d = 2.673 Å, I 865, hkl 1 1 1
- d = 2.314 Å, I 434, hkl 2 0 0
- d = 2.070 Å, I 517, hkl 2 1 0
- d = 1.890 Å, I 395, hkl 2 1 1
- d = 1.637 Å, I 300, hkl 2 2 0
- d = 1.543 Å, I 262, hkl 3 0 0
- d = 1.396 Å, I 354, hkl 3 1 1
- d = 1.237 Å, I 212, hkl 3 2 1